(1)
The following is a computed PXRD pattern of Ag2TeS. It was derived from the PBE geometry in Alexandria, using Cu Kα (λ = 1.5418 Å).
No peak broadening, texture or thermal motion is included.

Structure:
```
data_Ag2TeS
_chemical_formula_sum 'Ag4 Te2 S2'
_cell_length_a 4.5172
_cell_length_b 9.4177
_cell_length_c 4.7302
_cell_angle_alpha 90.00
_cell_angle_beta 96.50
_cell_angle_gamma 90.00
_space_group_name_H-M_alt 'P 1 21 1'
_space_group_IT_number 4
loop_
_space_group_symop_operation_xyz
'x,y,z'
'-x,y+1/2,-z'
loop_
_atom_site_label
_atom_site_type_symbol
_atom_site_fract_x
_atom_site_fract_y
_atom_site_fract_z
_atom_site_occupancy
Ag1 Ag 0.0857 0.0000 0.0890 1
Ag2 Ag 0.1748 0.7718 0.6575 1
Te1 Te 0.4931 0.6611 0.1238 1
S1 S 0.2574 0.3732 0.6353 1
```

Main lines, in order of rising 2θ (10° ≤ 2θ ≤ 90°):
(0 0 1), 18.9 deg, intensity 40; (1 1 0), 21.9 deg, intensity 32; (0 2 1), 26.8 deg, intensity 67; (1 2 0), 27.5 deg, intensity 58; (1 1 1), 30.6 deg, intensity 76; (1 2 -1), 32.2 deg, intensity 100; (0 3 1), 34.4 deg, intensity 50; (1 2 1), 34.9 deg, intensity 38; (0 1 2), 39.5 deg, intensity 29; (1 0 -2), 41.3 deg, intensity 31; (1 4 0), 43.4 deg, intensity 40; (2 1 -1), 43.8 deg, intensity 25

=====

(2)
The following is a computed PXRD pattern of Ac6IrPd2Pt. It was derived from the PBE geometry in Alexandria, using Cu Kα (λ = 1.5418 Å).
No peak broadening, texture or thermal motion is included.

Structure:
```
data_Ac6IrPd2Pt
_chemical_formula_sum 'Ac6 Ir1 Pd2 Pt1'
_cell_length_a 7.6326
_cell_length_b 7.6348
_cell_length_c 8.3170
_cell_angle_alpha 62.69
_cell_angle_beta 62.69
_cell_angle_gamma 60.04
_space_group_name_H-M_alt 'P 1'
_space_group_IT_number 1
loop_
_space_group_symop_operation_xyz
'x,y,z'
loop_
_atom_site_label
_atom_site_type_symbol
_atom_site_fract_x
_atom_site_fract_y
_atom_site_fract_z
_atom_site_occupancy
Ac1 Ac 0.0000 0.0000 0.0000 1
Ac2 Ac 0.1356 0.8640 0.4930 1
Ac3 Ac 0.3044 0.3556 0.0003 1
Ac4 Ac 0.5070 0.1680 0.4931 1
Ac5 Ac 0.6445 0.6599 0.9999 1
Ac6 Ac 0.8109 0.4926 0.4929 1
Ir1 Ir 0.9058 0.2618 0.2306 1
Pd1 Pd 0.2257 0.5822 0.2708 1
Pd2 Pd 0.7245 0.0810 0.7741 1
Pt1 Pt 0.4054 0.7617 0.7314 1
```

Main lines, in order of rising 2θ (10° ≤ 2θ ≤ 90°):
(1 1 0), 15.8 deg, intensity 19; (2 1 2), 26.5 deg, intensity 100; (1 -1 2), 34.6 deg, intensity 60; (3 3 2), 40.9 deg, intensity 44; (2 1 4), 45.3 deg, intensity 24; (2 -2 1), 49.5 deg, intensity 18; (4 2 4), 54.7 deg, intensity 16; (2 -2 3), 62.7 deg, intensity 9; (5 1 3), 66.1 deg, intensity 14; (3 3 -2), 68.1 deg, intensity 19; (4 -1 3), 70.5 deg, intensity 14; (5 1 5), 77.6 deg, intensity 9

=====

(3)
The following is a computed PXRD pattern of Na3MnS4. It was derived from the PBE geometry in Alexandria, using Cu Kα (λ = 1.5418 Å).
No peak broadening, texture or thermal motion is included.

Structure:
```
data_Na3MnS4
_chemical_formula_sum 'Na3 Mn1 S4'
_cell_length_a 5.9862
_cell_length_b 5.9862
_cell_length_c 5.9862
_cell_angle_alpha 90.00
_cell_angle_beta 90.00
_cell_angle_gamma 90.00
_space_group_name_H-M_alt 'P -4 3 m'
_space_group_IT_number 215
_space_group_name_Hall 'P -4 2 3'
loop_
_atom_site_label
_atom_site_type_symbol
_atom_site_fract_x
_atom_site_fract_y
_atom_site_fract_z
_atom_site_occupancy
Na1 Na 0.0000 0.0000 0.5000 1
Mn1 Mn 0.5000 0.5000 0.5000 1
S1 S 0.2956 0.2956 0.7044 1
```

Main lines, in order of rising 2θ (10° ≤ 2θ ≤ 90°):
(1 0 0), 14.8 deg, intensity 47; (1 1 0), 21.0 deg, intensity 15; (1 1 1), 25.8 deg, intensity 100; (2 1 1), 36.8 deg, intensity 17; (2 2 0), 42.7 deg, intensity 55; (2 2 1), 45.5 deg, intensity 11; (3 1 1), 50.6 deg, intensity 27; (3 2 0), 55.3 deg, intensity 13; (3 2 1), 57.6 deg, intensity 8; (4 1 1), 66.2 deg, intensity 10; (3 3 1), 68.3 deg, intensity 12; (4 2 2), 78.2 deg, intensity 9